Starting from the PBE geometry in OQMD, the XRD peak list of Sm3HgPt8 was simulated for λ = 1.5418 Å (Cu Kα).
Neutral-atom scattering factors, no anomalous dispersion.

Structure:
abc: 9.4585 9.4585 9.4585
angles: 33.50 33.50 33.50
Sites, in units of the cell vectors:
Sm (0.0000, 0.0000, 0.0000)
Sm (0.1290, 0.1290, 0.1290)
Sm (0.5148, 0.5148, 0.5148)
Hg (0.6358, 0.6358, 0.6358)
Pt (0.0697, 0.0697, 0.5640)
Pt (0.0697, 0.5640, 0.0697)
Pt (0.0721, 0.5699, 0.5699)
Pt (0.3191, 0.3191, 0.3191)
Pt (0.5640, 0.0697, 0.0697)
Pt (0.5699, 0.0721, 0.5699)
Pt (0.5699, 0.5699, 0.0721)
Pt (0.8190, 0.8190, 0.8190)

Principal peaks in the range 2θ from 10° to 80°, sorted by position:
d_spacing	2θ/deg	intensity
4.454	19.93	116
2.728	32.84	214
2.326	38.71	1000
2.227	40.50	469
1.929	47.12	81
1.770	51.64	33
1.575	58.61	55
1.574	58.66	21
1.485	62.54	194
1.484	62.59	126
1.364	68.84	288
1.220	78.40	31


Starting from the PBE geometry in OQMD, the XRD peak list of Sr2HgPt2 was simulated for λ = 1.5418 Å (Cu Kα).
Neutral-atom scattering factors, no anomalous dispersion.

Structure:
abc: 5.9842 5.9842 8.5554
angles: 103.09 103.09 58.80
Sites, in units of the cell vectors:
Sr (0.0022, 0.7028, 0.8524)
Sr (0.2972, 0.9978, 0.6476)
Sr (0.7028, 0.0022, 0.3524)
Sr (0.9978, 0.2972, 0.1476)
Hg (0.3520, 0.6480, 0.2500)
Hg (0.6480, 0.3520, 0.7500)
Pt (0.2138, 0.5061, 0.4917)
Pt (0.4939, 0.7862, 0.0083)
Pt (0.5061, 0.2138, 0.9917)
Pt (0.7862, 0.4939, 0.5083)

Principal peaks in the range 2θ from 10° to 80°, sorted by position:
d_spacing	2θ/deg	intensity
5.075	17.48	581
4.092	21.72	599
2.851	31.38	365
2.768	32.34	382
2.684	33.39	408
2.568	34.94	1000
2.519	35.64	346
2.451	36.66	436
2.341	38.46	746
2.001	45.32	233
1.643	55.98	229
1.494	62.14	230


Starting from the PBE geometry in OQMD, the XRD peak list of PuScHg6 was simulated for λ = 1.5418 Å (Cu Kα).
Neutral-atom scattering factors, no anomalous dispersion.

Structure:
abc: 5.0643 6.6177 6.6177
angles: 60.01 90.00 90.00
Sites, in units of the cell vectors:
Pu (0.0000, 0.0000, 0.0000)
Sc (0.5000, 0.6697, 0.6697)
Hg (0.0000, 0.5045, 0.9928)
Hg (0.0000, 0.5070, 0.5070)
Hg (0.0000, 0.9928, 0.5045)
Hg (0.5000, 0.1692, 0.1692)
Hg (0.5000, 0.1713, 0.6621)
Hg (0.5000, 0.6621, 0.1713)

Principal peaks in the range 2θ from 10° to 80°, sorted by position:
d_spacing	2θ/deg	intensity
5.731	15.46	52
3.795	23.44	49
2.866	31.21	252
2.532	35.45	231
2.494	36.01	1000
1.898	47.94	157
1.655	55.54	192
1.455	64.01	192
1.433	65.10	31
1.385	67.64	215
1.379	67.99	159
1.247	76.37	40


Starting from the PBE geometry in OQMD, the XRD peak list of Rb6Hg5 was simulated for λ = 1.5418 Å (Cu Kα).
Neutral-atom scattering factors, no anomalous dispersion.

Structure:
abc: 14.3256 14.3256 5.5964
angles: 90.00 90.00 120.00
Sites, in units of the cell vectors:
Rb (0.0089, 0.2442, 0.2500)
Rb (0.1354, 0.6203, 0.2500)
Rb (0.2353, 0.9911, 0.2500)
Rb (0.2442, 0.2353, 0.7500)
Rb (0.3797, 0.5151, 0.2500)
Rb (0.4849, 0.8646, 0.2500)
Rb (0.5151, 0.1354, 0.7500)
Rb (0.6203, 0.4849, 0.7500)
Rb (0.7558, 0.7647, 0.2500)
Rb (0.7647, 0.0089, 0.7500)
Rb (0.8646, 0.3797, 0.7500)
Rb (0.9911, 0.7558, 0.7500)
Hg (0.0000, 0.0000, 0.0000)
Hg (0.0000, 0.0000, 0.5000)
Hg (0.1517, 0.4350, 0.7500)
Hg (0.2833, 0.8483, 0.7500)
Hg (0.3333, 0.6667, 0.7500)
Hg (0.4350, 0.2833, 0.2500)
Hg (0.5650, 0.7167, 0.7500)
Hg (0.6667, 0.3333, 0.2500)
Hg (0.7167, 0.1517, 0.2500)
Hg (0.8483, 0.5650, 0.2500)

Principal peaks in the range 2θ from 10° to 80°, sorted by position:
d_spacing	2θ/deg	intensity
7.163	12.36	338
5.101	17.38	432
4.689	18.93	440
3.594	24.77	707
3.326	26.81	334
3.017	29.61	234
2.931	30.50	251
2.798	31.98	220
2.708	33.07	1000
2.537	35.38	223
1.946	46.68	256
1.872	48.63	195


Starting from the PBE geometry in OQMD, the XRD peak list of Rb5Hg19 was simulated for λ = 1.5418 Å (Cu Kα).
Neutral-atom scattering factors, no anomalous dispersion.

Structure:
abc: 9.8365 9.8365 9.8365
angles: 106.87 106.87 114.81
Sites, in units of the cell vectors:
Rb (0.0000, 0.0000, 0.0000)
Rb (0.1739, 0.3799, 0.5538)
Rb (0.3799, 0.8261, 0.2060)
Rb (0.6201, 0.1739, 0.7940)
Rb (0.8261, 0.6201, 0.4462)
Hg (0.0249, 0.4333, 0.1812)
Hg (0.1129, 0.3648, 0.9055)
Hg (0.1562, 0.9751, 0.4083)
Hg (0.2074, 0.1129, 0.7480)
Hg (0.2500, 0.7500, 0.5000)
Hg (0.2521, 0.8438, 0.8188)
Hg (0.3648, 0.4593, 0.2520)
Hg (0.4333, 0.2521, 0.4083)
Hg (0.4593, 0.2074, 0.0945)
Hg (0.5000, 0.5000, 0.0000)
Hg (0.5407, 0.7926, 0.9055)
Hg (0.5667, 0.7479, 0.5917)
Hg (0.6352, 0.5407, 0.7480)
Hg (0.7479, 0.1562, 0.1812)
Hg (0.7500, 0.2500, 0.5000)
Hg (0.7926, 0.8871, 0.2520)
Hg (0.8438, 0.0249, 0.5917)
Hg (0.8871, 0.6352, 0.0945)
Hg (0.9751, 0.5667, 0.8188)

Principal peaks in the range 2θ from 10° to 80°, sorted by position:
d_spacing	2θ/deg	intensity
5.299	16.73	374
4.698	18.89	363
3.037	29.41	852
2.929	30.52	656
2.621	34.22	1000
2.392	37.60	205
2.349	38.32	218
2.155	41.92	352
1.953	46.50	207
1.853	49.17	321
1.594	57.83	127
1.518	61.02	148


Starting from the PBE geometry in OQMD, the XRD peak list of Rb3Hg20 was simulated for λ = 1.5418 Å (Cu Kα).
Neutral-atom scattering factors, no anomalous dispersion.

Structure:
abc: 11.0244 11.0244 11.0244
angles: 90.00 90.00 90.00
Sites, in units of the cell vectors:
Rb (0.0000, 0.2500, 0.5000)
Rb (0.0000, 0.7500, 0.5000)
Rb (0.2500, 0.5000, 0.0000)
Rb (0.5000, 0.0000, 0.2500)
Rb (0.5000, 0.0000, 0.7500)
Rb (0.7500, 0.5000, 0.0000)
Hg (0.0000, 0.0000, 0.0000)
Hg (0.0000, 0.2580, 0.1344)
Hg (0.0000, 0.2580, 0.8656)
Hg (0.0000, 0.5000, 0.2500)
Hg (0.0000, 0.5000, 0.7500)
Hg (0.0000, 0.7420, 0.1344)
Hg (0.0000, 0.7420, 0.8656)
Hg (0.1344, 0.0000, 0.2580)
Hg (0.1344, 0.0000, 0.7420)
Hg (0.2420, 0.5000, 0.3656)
Hg (0.2420, 0.5000, 0.6344)
Hg (0.2500, 0.0000, 0.5000)
Hg (0.2500, 0.2500, 0.2500)
Hg (0.2500, 0.2500, 0.7500)
Hg (0.2500, 0.7500, 0.2500)
Hg (0.2500, 0.7500, 0.7500)
Hg (0.2580, 0.1344, 0.0000)
Hg (0.2580, 0.8656, 0.0000)
Hg (0.3656, 0.2420, 0.5000)
Hg (0.3656, 0.7580, 0.5000)
Hg (0.5000, 0.2500, 0.0000)
Hg (0.5000, 0.3656, 0.2420)
Hg (0.5000, 0.3656, 0.7580)
Hg (0.5000, 0.5000, 0.5000)
Hg (0.5000, 0.6344, 0.2420)
Hg (0.5000, 0.6344, 0.7580)
Hg (0.5000, 0.7500, 0.0000)
Hg (0.6344, 0.2420, 0.5000)
Hg (0.6344, 0.7580, 0.5000)
Hg (0.7420, 0.1344, 0.0000)
Hg (0.7420, 0.8656, 0.0000)
Hg (0.7500, 0.0000, 0.5000)
Hg (0.7500, 0.2500, 0.2500)
Hg (0.7500, 0.2500, 0.7500)
Hg (0.7500, 0.7500, 0.2500)
Hg (0.7500, 0.7500, 0.7500)
Hg (0.7580, 0.5000, 0.3656)
Hg (0.7580, 0.5000, 0.6344)
Hg (0.8656, 0.0000, 0.2580)
Hg (0.8656, 0.0000, 0.7420)

Principal peaks in the range 2θ from 10° to 80°, sorted by position:
d_spacing	2θ/deg	intensity
7.795	11.35	412
4.930	17.99	390
3.182	28.04	358
3.058	29.21	499
2.946	30.34	457
2.756	32.49	941
2.674	33.52	333
2.406	37.38	1000
2.350	38.29	360
2.250	40.07	673
1.788	51.07	340
1.473	63.11	351